Computed XRD peak list
Compound: Pr2Ho3Er6Pb
Radiation: copper Kα
Structure: the GGA-PBE geometry in Alexandria
Neutral-atom scattering factors, no anomalous dispersion.

Top 6 peaks for 2θ = 15–90°, most intense first:
two_theta, I_rel
31.18, 100
36.11, 68
31.00, 34
61.88, 28
51.87, 24
52.11, 24

Structure:
```
data_Pr2Ho3Er6Pb
_cell_length_a 6.0784
_cell_length_b 10.5331
_cell_length_c 11.7181
_cell_angle_alpha 90.00
_cell_angle_beta 100.00
_cell_angle_gamma 90.00
_space_group_name_H-M_alt 'C 1 2/m 1'
_space_group_IT_number 12
loop_
_space_group_symop_operation_xyz
'x,y,z'
'-x,-y,-z'
'-x,y,-z'
'x,-y,z'
'x+1/2,y+1/2,z'
'-x+1/2,-y+1/2,-z'
'-x+1/2,y+1/2,-z'
'x+1/2,-y+1/2,z'
loop_
_atom_site_label
_atom_site_fract_x
_atom_site_fract_y
_atom_site_fract_z
Pr1 0.0000 0.1662 0.0000
Ho1 0.0000 0.0000 0.5000
Ho2 0.0000 0.3327 0.5000
Er1 0.2434 0.5000 0.7470
Er2 0.2468 0.3364 0.2520
Pb1 0.0000 0.5000 0.0000
```